No. 1
Theoretical powder diffraction line list
Compound: CaBiO3
Radiation: Cu Kα (weighted mean of Kα1 and Kα2)
Structure: a DFT-relaxed cell (PBE, the Materials Project)
No peak broadening, texture or thermal motion is included.

Main lines, sorted by position (2θ from 10° to 80°):
2theta, I (rel.)
17.3, 60
18.2, 62
20.8, 25
29.0, 94
30.1, 100
34.9, 74
42.3, 41
46.8, 43
52.8, 41
53.4, 31

Cell and atoms:
```
10
Lattice="2.9695 1.7145 5.1253 -2.9695 1.7145 5.1253 0.0000 -3.4289 5.1253" Properties=species:S:1:pos:R:3 pbc="T T T"
Ca 0.0000 0.0000 2.1160
Ca 0.0000 0.0000 13.2601
Bi 0.0000 0.0000 5.4318
Bi 0.0000 0.0000 9.9442
O -2.0567 -0.2629 6.3382
O -0.8007 -1.9126 9.0378
O 1.2560 -1.6497 6.3382
O -1.2560 1.6497 9.0378
O 0.8007 1.9126 6.3382
O 2.0567 0.2629 9.0378
```



No. 2
Theoretical powder diffraction line list
Compound: AlVN2
Radiation: Cu Kα (weighted mean of Kα1 and Kα2)
Structure: a DFT-relaxed cell (PBE, the Materials Project)
No peak broadening, texture or thermal motion is included.

Main lines, sorted by position (2θ from 10° to 80°):
2theta, I (rel.)
32.0, 75
32.2, 40
35.8, 77
36.8, 100
37.0, 46
48.8, 28
56.9, 25
57.3, 47
65.0, 37
69.5, 37

Cell and atoms:
```
16
Lattice="5.5563 0.0000 0.0000 0.0000 6.4696 0.0000 0.0000 0.0000 5.0138" Properties=species:S:1:pos:R:3 pbc="T T T"
Al 0.4582 0.8076 0.0000
Al 2.3199 4.0424 2.5069
Al 3.2364 2.4273 0.0000
Al 5.0980 5.6621 2.5069
V 0.4451 4.0301 4.9712
V 2.3330 0.7953 2.4642
V 3.2233 5.6743 4.9712
V 5.1111 2.4395 2.4642
N 0.4324 0.7628 1.9150
N 0.5039 4.1147 1.9669
N 2.2742 0.8799 4.4739
N 2.3458 3.9976 4.4219
N 3.2105 2.4720 1.9150
N 3.2821 5.5897 1.9669
N 5.0523 2.3549 4.4739
N 5.1239 5.7068 4.4219
```